Simulated powder diffractogram
Compound: Fe4O3F5
Radiation: Cu Kα (λ = 1.5418 Å)
Structure: a DFT-relaxed cell (GGA+U, Alexandria)
Lines closer than 0.1° are merged.

Top 6 peaks for 10 to 90 degrees two-theta, by angle:
hkl, two_theta, I_rel
1 0 -2, 25.92, 97
1 0 2, 27.24, 93
1 2 0, 34.94, 100
2 2 -2, 51.78, 59
2 0 -4, 53.28, 69
0 2 6, 66.57, 20

Structural model:
abc: 4.743 6.110 9.503
angles: 90.03 92.80 90.05
Space group P1 (No. 1)
Symmetry-distinct sites (fractional):
1 Fe 0.000 0.000 0.000 x1
2 Fe 0.019 0.005 0.484 x1
3 Fe 0.452 0.270 0.721 x1
4 Fe 0.473 0.750 0.724 x1
5 Fe 0.491 0.257 0.228 x1
6 Fe 0.512 0.756 0.218 x1
7 Fe 0.931 0.523 0.972 x1
8 Fe 0.976 0.511 0.466 x1
9 O 0.269 0.515 0.620 x1
10 O 0.303 0.004 0.639 x1
11 O 0.323 0.012 0.144 x1
12 O 0.661 0.506 0.817 x1
13 O 0.674 0.504 0.316 x1
14 O 0.777 0.748 0.082 x1
15 F 0.164 0.269 0.881 x1
16 F 0.178 0.744 0.883 x1
17 F 0.193 0.269 0.372 x1
18 F 0.197 0.745 0.364 x1
19 F 0.278 0.495 0.122 x1
20 F 0.683 0.001 0.828 x1
21 F 0.704 0.016 0.329 x1
22 F 0.777 0.267 0.080 x1
23 F 0.777 0.749 0.564 x1
24 F 0.780 0.269 0.569 x1